(1)
For Nb3Ga4Pd, DFT lattice parameters and positions (PBE) gives the simulated powder X-ray diffraction pattern in this record (Cu Kα).

Structural model:
```
data_Nb3Ga4Pd
_symmetry_space_group_name_H-M 'P m n 21'
_symmetry_Int_Tables_number 31
_cell_length_a 9.2072
_cell_length_b 5.4348
_cell_length_c 5.3400
_cell_angle_alpha 90.00
_cell_angle_beta 90.00
_cell_angle_gamma 90.00
loop_
_symmetry_equiv_pos_as_xyz
'x,y,z'
'-x+1/2,-y,z+1/2'
'-x,y,z'
'x+1/2,-y,z+1/2'
loop_
_atom_site_label
_atom_site_type_symbol
_atom_site_fract_x
_atom_site_fract_y
_atom_site_fract_z
_atom_site_occupancy
Nb1 Nb 0.0000 0.1186 0.0000 1
Nb2 Nb 0.2398 0.3560 0.6767 1
Ga1 Ga 0.0000 0.1059 0.4885 1
Ga2 Ga 0.0000 0.6055 0.9044 1
Ga3 Ga 0.2189 0.8519 0.6899 1
Pd1 Pd 0.0000 0.6199 0.4008 1
```

The 6 most intense peaks (10 to 80 degrees two-theta), by angle:
2theta	I (rel.)
34.41	35
37.12	37
39.00	100
39.14	54
42.16	36
44.53	38


(2)
For PmNbGa, DFT lattice parameters and positions (PBE) gives the simulated powder X-ray diffraction pattern in this record (Cu Kα).

Structural model:
```
data_PmNbGa
_symmetry_space_group_name_H-M 'I 4/m m m'
_symmetry_Int_Tables_number 139
_symmetry_space_group_name_Hall '-I 4 2'
_cell_length_a 4.0287
_cell_length_b 4.0287
_cell_length_c 17.0117
_cell_angle_alpha 90.00
_cell_angle_beta 90.00
_cell_angle_gamma 90.00
loop_
_atom_site_label
_atom_site_type_symbol
_atom_site_fract_x
_atom_site_fract_y
_atom_site_fract_z
_atom_site_occupancy
Pm1 Pm 0.0000 0.0000 0.1735 1
Nb1 Nb 0.0000 0.5000 0.0000 1
Ga1 Ga 0.0000 0.0000 0.3838 1
```

The 6 most intense peaks (10 to 80 degrees two-theta), by angle:
2theta	I (rel.)
27.15	54
31.55	40
33.16	90
34.50	73
38.02	100
45.00	65


(3)
For Nb14GaPt, DFT lattice parameters and positions (PBE) gives the simulated powder X-ray diffraction pattern in this record (Cu Kα).

Structural model:
```
data_Nb14GaPt
_symmetry_space_group_name_H-M 'C m m m'
_symmetry_Int_Tables_number 65
_symmetry_space_group_name_Hall '-C 2 2'
_cell_length_a 6.8281
_cell_length_b 9.2001
_cell_length_c 9.1392
_cell_angle_alpha 90.00
_cell_angle_beta 90.00
_cell_angle_gamma 90.00
loop_
_atom_site_label
_atom_site_type_symbol
_atom_site_fract_x
_atom_site_fract_y
_atom_site_fract_z
_atom_site_occupancy
Nb1 Nb 0.0000 0.0000 0.0000 1
Nb2 Nb 0.0000 0.2463 0.2578 1
Nb3 Nb 0.0000 0.5000 0.0000 1
Nb4 Nb 0.2465 0.5000 0.2522 1
Nb5 Nb 0.2500 0.2500 0.0000 1
Nb6 Nb 0.2500 0.2500 0.5000 1
Ga1 Ga 0.0000 0.0000 0.5000 1
Pt1 Pt 0.0000 0.5000 0.5000 1
```

The 6 most intense peaks (10 to 80 degrees two-theta), by angle:
2theta	I (rel.)
38.29	100
39.17	23
39.44	23
56.80	15
70.39	16
70.76	15


(4)
For Nb8Ga6Pt, DFT lattice parameters and positions (PBE) gives the simulated powder X-ray diffraction pattern in this record (Cu Kα).

Structural model:
```
data_Nb8Ga6Pt
_symmetry_space_group_name_H-M 'R -3'
_symmetry_Int_Tables_number 148
_symmetry_space_group_name_Hall '-R 3'
_cell_length_a 7.5721
_cell_length_b 7.5721
_cell_length_c 16.6219
_cell_angle_alpha 90.00
_cell_angle_beta 90.00
_cell_angle_gamma 120.00
loop_
_atom_site_label
_atom_site_type_symbol
_atom_site_fract_x
_atom_site_fract_y
_atom_site_fract_z
_atom_site_occupancy
Nb1 Nb 0.0000 0.0000 0.1669 1
Nb2 Nb 0.0118 0.7257 0.7188 1
Ga1 Ga 0.0145 0.6387 0.2241 1
Pt1 Pt 0.0000 0.0000 0.5000 1
```

The 6 most intense peaks (10 to 80 degrees two-theta), by angle:
2theta	I (rel.)
28.56	54
36.66	24
40.34	100
41.30	71
59.11	21
74.66	19